Record 1
Calculated powder X-ray diffraction pattern
Compound: BaLiO2F
Radiation: Cu Kα
Structure: a GGA-PBE-relaxed structure

The 10 most intense peaks (5° ≤ 2θ ≤ 70°), sorted by position:
| 2θ (°) | Rel. int. |
| --- | --- |
| 20.57 | 47 |
| 22.38 | 70 |
| 30.58 | 78 |
| 31.86 | 39 |
| 38.23 | 100 |
| 41.84 | 21 |
| 45.68 | 32 |
| 47.96 | 19 |
| 55.97 | 29 |
| 63.66 | 22 |

Crystal structure
Unit cell a=3.972 b=3.972 c=4.318 alpha=90.00 beta=90.00 gamma=90.00
Space group P4/mmm (No. 123)
Asymmetric unit:
1 Ba 0.000 0.000 0.000 x1
2 Li 0.500 0.500 0.500 x1
3 O 0.000 0.500 0.500 x2
4 F 0.500 0.500 0.000 x1



Record 2
Calculated powder X-ray diffraction pattern
Compound: Na7PaO6
Radiation: Cu Kα
Structure: a GGA-PBE-relaxed structure

The 10 most intense peaks (5° ≤ 2θ ≤ 70°), sorted by position:
| 2θ (°) | Rel. int. |
| --- | --- |
| 16.35 | 100 |
| 18.90 | 58 |
| 26.79 | 27 |
| 31.50 | 21 |
| 31.62 | 71 |
| 42.02 | 15 |
| 42.99 | 34 |
| 43.15 | 18 |
| 47.50 | 26 |
| 50.53 | 20 |

Crystal structure
Unit cell a=6.6268 b=6.6268 c=16.3414 alpha=90.00 beta=90.00 gamma=120.00
Space group R3 (No. 146, hexagonal axes)
Asymmetric unit:
1 Na 0.0000 0.0000 0.0000 x3
2 Na 0.0074 0.4002 0.4581 x9
3 Na 0.0202 0.7451 0.5720 x9
4 Pa 0.0000 0.0000 0.3488 x3
5 O 0.0652 0.6704 0.0935 x9
6 O 0.0722 0.3663 0.9385 x9



Record 3
Calculated powder X-ray diffraction pattern
Compound: Li2AlBr4
Radiation: Cu Kα
Structure: a GGA-PBE-relaxed structure

The 10 most intense peaks (5° ≤ 2θ ≤ 70°), sorted by position:
| 2θ (°) | Rel. int. |
| --- | --- |
| 25.70 | 100 |
| 29.64 | 27 |
| 30.00 | 13 |
| 42.42 | 15 |
| 42.68 | 30 |
| 50.26 | 30 |
| 50.73 | 15 |
| 52.83 | 10 |
| 67.82 | 6 |
| 68.20 | 12 |

Crystal structure
Unit cell a=6.027 b=6.027 c=11.913 alpha=90.00 beta=90.00 gamma=90.00
Space group I-42m (No. 121)
Asymmetric unit:
1 Li 0.000 0.500 0.250 x4
2 Al 0.000 0.000 0.000 x2
3 Br 0.248 0.248 0.128 x8



Record 4
Calculated powder X-ray diffraction pattern
Compound: Sm3SiGe
Radiation: Cu Kα
Structure: a GGA-PBE-relaxed structure

The 10 most intense peaks (5° ≤ 2θ ≤ 70°), sorted by position:
| 2θ (°) | Rel. int. |
| --- | --- |
| 10.10 | 30 |
| 24.26 | 35 |
| 26.34 | 31 |
| 30.62 | 14 |
| 33.63 | 39 |
| 35.05 | 100 |
| 35.50 | 28 |
| 49.71 | 22 |
| 54.11 | 14 |
| 61.06 | 20 |

Crystal structure
Unit cell a=10.659 b=17.515 c=6.194 alpha=90.00 beta=90.00 gamma=90.00
Space group Cmce (No. 64)
Asymmetric unit:
1 Sm 0.000 0.108 0.249 x8
2 Sm 0.249 0.000 0.500 x8
3 Sm 0.250 0.179 0.750 x8
4 Si 0.250 0.156 0.250 x8
5 Ge 0.000 0.075 0.750 x8